No. 1
Simulated powder XRD pattern of KBaYB6O12 for Cu Kα, 1.54184 Å, from a DFT-relaxed cell (PBE, Alexandria).
Neutral-atom scattering factors, no anomalous dispersion.

Structure:
a b c (Å): 7.2746 7.2746 18.0546
angles (deg): 90.00 90.00 120.00
Space group R3 (No. 146, hexagonal axes)
Symmetry-distinct sites (fractional):
K 0.0000 0.0000 0.0000 x3
Ba 0.0000 0.0000 0.5817 x3
Y 0.0000 0.0000 0.7898 x3
B 0.0565 0.8385 0.3716 x9
B 0.1632 0.4513 0.8685 x9
O 0.0004 0.2528 0.8654 x9
O 0.0436 0.8344 0.2033 x9
O 0.1075 0.6856 0.3725 x9
O 0.1761 0.4543 0.0379 x9

The 10 most intense peaks (10 to 90 degrees two-theta), in order of rising 2θ:
2θ (°), I (rel.), h k l
14.89, 72, 1 0 1
24.26, 31, 1 0 4
24.47, 81, 1 1 0
28.49, 100, 0 1 5
28.74, 42, 0 2 1
34.73, 27, 0 2 4
37.90, 29, 2 0 5
38.12, 29, 3 -1 1
42.94, 44, 3 -1 4
45.64, 34, 3 -2 5

No. 2
Simulated powder XRD pattern of BaLaB12 for Cu Kα, 1.54184 Å, from a DFT-relaxed cell (PBE, Alexandria).
Neutral-atom scattering factors, no anomalous dispersion.

Structure:
a b c (Å): 8.4243 8.4243 8.4243
angles (deg): 90.00 90.00 90.00
Space group Fm-3m (No. 225)
Symmetry-distinct sites (fractional):
Ba 0.0000 0.0000 0.0000 x4
La 0.0000 0.0000 0.5000 x4
B 0.1010 0.2500 0.2500 x48

The 10 most intense peaks (10 to 90 degrees two-theta), in order of rising 2θ:
2θ (°), I (rel.), h k l
21.09, 61, 2 0 0
30.00, 100, 2 2 0
36.96, 42, 2 2 2
42.94, 21, 4 0 0
48.32, 49, 4 2 0
53.27, 26, 4 2 2
66.61, 28, 4 4 2
70.73, 20, 6 2 0
74.75, 13, 6 2 2
86.44, 17, 6 4 2

No. 3
Simulated powder XRD pattern of BaLaBN2 for Cu Kα, 1.54184 Å, from a DFT-relaxed cell (PBE, Alexandria).
Neutral-atom scattering factors, no anomalous dispersion.

Structure:
a b c (Å): 7.7002 5.2802 7.7472
angles (deg): 90.00 120.11 90.00
Space group P2/c (No. 13)
Symmetry-distinct sites (fractional):
Ba 0.0000 0.1516 0.2500 x2
La 0.5000 0.4994 0.7500 x2
B 0.5000 0.0000 0.0000 x2
N 0.4112 0.2295 0.4554 x4

The 10 most intense peaks (10 to 90 degrees two-theta), in order of rising 2θ:
2θ (°), I (rel.), h k l
21.46, 100, 1 1 0
26.62, 48, 0 0 2
26.77, 37, 2 0 0
28.59, 43, 1 1 -2
36.60, 23, 1 2 0
39.57, 36, 1 1 2
41.42, 18, 1 2 -2
47.18, 13, 2 0 2
52.14, 11, 3 1 -4
59.34, 20, 0 3 2

No. 4
Simulated powder XRD pattern of Ba4LiB3N6 for Cu Kα, 1.54184 Å, from a DFT-relaxed cell (PBE, Alexandria).
Neutral-atom scattering factors, no anomalous dispersion.

Structure:
a b c (Å): 7.9271 7.9271 7.9271
angles (deg): 90.00 90.00 90.00
Space group Im-3m (No. 229)
Symmetry-distinct sites (fractional):
Ba 0.2500 0.2500 0.2500 x8
Li 0.0000 0.0000 0.0000 x2
B 0.0000 0.0000 0.5000 x6
N 0.0000 0.0000 0.3287 x12

The 10 most intense peaks (10 to 90 degrees two-theta), in order of rising 2θ:
2θ (°), I (rel.), h k l
22.43, 80, 2 0 0
31.93, 100, 2 2 0
39.37, 36, 2 2 2
45.79, 21, 4 0 0
51.56, 41, 4 2 0
56.91, 33, 4 2 2
66.75, 12, 4 4 0
71.39, 21, 4 4 2
75.91, 18, 6 2 0
80.34, 12, 6 2 2

No. 5
Simulated powder XRD pattern of BaLiB9O15 for Cu Kα, 1.54184 Å, from a DFT-relaxed cell (PBE, Alexandria).
Neutral-atom scattering factors, no anomalous dispersion.

Structure:
a b c (Å): 11.1790 11.1790 17.2275
angles (deg): 90.00 90.00 120.00
Space group R3c (No. 161, hexagonal axes)
Symmetry-distinct sites (fractional):
Ba 0.0000 0.0000 0.0000 x6
Li 0.0000 0.0000 0.2523 x6
B 0.9997 0.4303 0.2478 x18
B 0.0627 0.4630 0.8543 x18
B 0.1295 0.3959 0.9747 x18
O 0.0002 0.1739 0.2479 x18
O 0.0168 0.2672 0.9688 x18
O 0.0826 0.3992 0.1936 x18
O 0.1027 0.5507 0.7927 x18
O 0.2178 0.4365 0.0361 x18

The 10 most intense peaks (10 to 90 degrees two-theta), in order of rising 2θ:
2θ (°), I (rel.), h k l
13.76, 100, 0 1 2
22.19, 30, 1 1 3
22.60, 40, 1 0 4
26.46, 100, 1 2 2
27.68, 31, 3 0 0
32.08, 46, 2 1 4
38.64, 23, 0 4 2
39.55, 22, 1 3 4
42.13, 22, 3 0 6
42.83, 44, 4 0 4

No. 6
Simulated powder XRD pattern of Ba2LiB5O10 for Cu Kα, 1.54184 Å, from a DFT-relaxed cell (PBE, Alexandria).
Neutral-atom scattering factors, no anomalous dispersion.

Structure:
a b c (Å): 4.4659 14.8730 6.7756
angles (deg): 90.00 104.21 90.00
Space group P2_1/m (No. 11)
Symmetry-distinct sites (fractional):
Ba 0.1660 0.0872 0.3019 x4
Li 0.4909 0.7500 0.9789 x2
B 0.0621 0.6647 0.1803 x4
B 0.2717 0.7500 0.5052 x2
B 0.4496 0.0809 0.8198 x4
O 0.1229 0.7500 0.0876 x2
O 0.1684 0.6687 0.4066 x4
O 0.2253 0.5891 0.1063 x4
O 0.2764 0.1456 0.8913 x4
O 0.3299 0.0139 0.6910 x4
O 0.4608 0.7500 0.6940 x2

The 10 most intense peaks (10 to 90 degrees two-theta), in order of rising 2θ:
2θ (°), I (rel.), h k l
11.90, 32, 0 2 0
21.64, 28, 1 0 -1
22.47, 62, 0 3 1
27.15, 27, 0 0 2
27.34, 100, 1 3 0
28.21, 67, 1 3 -1
29.85, 26, 1 0 -2
32.71, 25, 0 3 2
36.63, 22, 1 4 1
42.56, 37, 1 3 2